Structure and simulated PXRD pattern of Mg2MnWO6 (a GGA+U-relaxed structure; λ = 1.5418 Å (Cu Kα)).
Neutral-atom scattering factors, no anomalous dispersion.

The 10 most intense peaks (15° ≤ 2θ ≤ 90°), low angle first:
- d = 4.750 Å, I 35, (0 0 1)
- d = 4.336 Å, I 82, (1 0 0)
- d = 3.839 Å, I 97, (1 0 -1)
- d = 3.830 Å, I 49, (1 -1 1)
- d = 2.806 Å, I 100, (-1 1 1)
- d = 2.628 Å, I 77, (1 -2 1)
- d = 2.297 Å, I 26, (1 -2 2)
- d = 2.168 Å, I 25, (2 0 0)
- d = 1.915 Å, I 26, (2 0 -2)
- d = 1.760 Å, I 42, (-2 1 2)

Atomic structure:
Unit cell a=5.2498 b=5.2586 c=5.6283 alpha=117.69 beta=90.03 gamma=119.91
Fractional positions:
Mg 0.0000 0.0000 0.0000
Mg 0.4994 0.9951 0.4925
Mn 0.2156 0.4312 0.6429
W 0.7021 0.4023 0.1032
O 0.0745 0.8621 0.3010
O 0.3183 0.9356 0.8276
O 0.4380 0.5092 0.3040
O 0.6176 0.5119 0.8284
O 0.7930 0.2271 0.3015
O 0.8935 0.2094 0.8252